For KCrC4O13, DFT lattice parameters and positions (PBE+U) gives the simulated X-ray diffraction stick pattern in this record (a wavelength of 1.5418 Å).
Neutral-atom scattering factors, no anomalous dispersion.

The 8 most intense peaks (15° ≤ 2θ ≤ 90°), low angle first:
(0 1 0), d 5.302, intensity 68; (1 0 2), d 4.529, intensity 73; (0 1 2), d 4.229, intensity 72; (1 1 2), d 3.444, intensity 94; (2 1 0), d 3.058, intensity 28; (2 0 -4), d 3.001, intensity 29; (1 1 3), d 2.949, intensity 100; (3 1 -3), d 2.263, intensity 35

Cell and atoms:
Lattice parameters (Å, degrees): 7.7701 5.3022 14.5832 90.00 105.96 90.00
Positions (direct):
K 0.0000 0.1950 0.2500
K 0.0000 0.8050 0.7500
Cr 0.5000 0.0000 0.0000
Cr 0.5000 0.0000 0.5000
C 0.2223 0.0326 0.5877
C 0.2223 0.9674 0.0877
C 0.3358 0.2085 0.1287
C 0.3358 0.7915 0.6287
C 0.6642 0.2085 0.3713
C 0.6642 0.7915 0.8713
C 0.7777 0.0326 0.9123
C 0.7777 0.9674 0.4123
O 0.0939 0.0944 0.6166
O 0.0939 0.9056 0.1166
O 0.2193 0.3841 0.8916
O 0.2193 0.6159 0.3916
O 0.2819 0.1466 0.5234
O 0.2819 0.8534 0.0234
O 0.2898 0.3415 0.1880
O 0.2898 0.6585 0.6880
O 0.3356 0.2332 0.8805
O 0.3356 0.7668 0.3805
O 0.4721 0.2458 0.0960
O 0.4721 0.7542 0.5960
O 0.5000 0.3542 0.7500
O 0.5000 0.6458 0.2500
O 0.5279 0.2458 0.4040
O 0.5279 0.7542 0.9040
O 0.6644 0.2332 0.6195
O 0.6644 0.7668 0.1195
O 0.7102 0.3415 0.3120
O 0.7102 0.6585 0.8120
O 0.7181 0.1466 0.9766
O 0.7181 0.8534 0.4766
O 0.7807 0.3841 0.6084
O 0.7807 0.6159 0.1084
O 0.9061 0.0944 0.8834
O 0.9061 0.9056 0.3834